# 1
Structure and theoretical powder XRD pattern of Mg5Ti (a DFT-relaxed cell (GGA-PBE, Alexandria); a wavelength of 1.5418 Å).
Neutral-atom scattering factors, no anomalous dispersion.

Structure:
```
data_Mg5Ti
_space_group_name_H-M_alt 'R 3 2'
_space_group_IT_number 155
_space_group_name_Hall 'R 3 2"'
_cell_length_a 5.4153
_cell_length_b 5.4153
_cell_length_c 15.5052
_cell_angle_alpha 90.00
_cell_angle_beta 90.00
_cell_angle_gamma 120.00
loop_
_atom_site_label
_atom_site_type_symbol
_atom_site_fract_x
_atom_site_fract_y
_atom_site_fract_z
Mg1 Mg 0.0000 0.0000 0.1634
Mg2 Mg 0.0000 0.3445 0.0000
Ti1 Ti 0.0000 0.0000 0.5000
```

Top 10 peaks for 2θ = 10–90°, in order of falling intensity:
- 2.398 Å, 2θ = 37.50°, I = 100, hkl 1 1 3
- 2.584 Å, 2θ = 34.71°, I = 30, hkl 0 0 6
- 2.708 Å, 2θ = 33.08°, I = 25, hkl 1 1 0
- 1.454 Å, 2θ = 64.06°, I = 19, hkl 1 1 9
- 1.338 Å, 2θ = 70.39°, I = 18, hkl 3 0 6
- 1.563 Å, 2θ = 59.10°, I = 16, hkl 3 0 0
- 1.869 Å, 2θ = 48.71°, I = 16, hkl 1 1 6
- 1.310 Å, 2θ = 72.12°, I = 13, hkl 2 2 3
- 4.489 Å, 2θ = 19.78°, I = 7, hkl 1 0 1
- 4.013 Å, 2θ = 22.15°, I = 4, hkl 0 1 2

=====

# 2
Structure and theoretical powder XRD pattern of Mn2NbN (a DFT-relaxed cell (GGA-PBE, Alexandria); a wavelength of 1.5418 Å).
Neutral-atom scattering factors, no anomalous dispersion.

Structure:
```
data_Mn2NbN
_space_group_name_H-M_alt 'I -4 2 d'
_space_group_IT_number 122
_space_group_name_Hall 'I -4 2bw'
_cell_length_a 6.522
_cell_length_b 6.522
_cell_length_c 4.502
_cell_angle_alpha 90.00
_cell_angle_beta 90.00
_cell_angle_gamma 90.00
loop_
_atom_site_label
_atom_site_type_symbol
_atom_site_fract_x
_atom_site_fract_y
_atom_site_fract_z
Mn1 Mn 0.125 0.750 0.125
Nb1 Nb 0.000 0.000 0.500
N1 N 0.000 0.000 0.000
```

Top 10 peaks for 2θ = 10–90°, in order of falling intensity:
- 2.448 Å, 2θ = 36.71°, I = 100, hkl 2 1 1
- 2.023 Å, 2θ = 44.80°, I = 39, hkl 1 1 2
- 1.521 Å, 2θ = 60.92°, I = 19, hkl 3 1 2
- 2.306 Å, 2θ = 39.07°, I = 19, hkl 2 2 0
- 1.958 Å, 2θ = 46.38°, I = 19, hkl 3 0 1
- 1.458 Å, 2θ = 63.83°, I = 19, hkl 4 2 0
- 2.062 Å, 2θ = 43.90°, I = 14, hkl 3 1 0
- 1.253 Å, 2θ = 75.96°, I = 13, hkl 5 0 1
- 3.261 Å, 2θ = 27.35°, I = 13, hkl 2 0 0
- 1.155 Å, 2θ = 83.74°, I = 8, hkl 3 2 3

=====

# 3
Structure and theoretical powder XRD pattern of Na14Mg2O9 (a DFT-relaxed cell (GGA-PBE, Alexandria); a wavelength of 1.5418 Å).
Neutral-atom scattering factors, no anomalous dispersion.

Structure:
```
data_Na14Mg2O9
_space_group_name_H-M_alt 'P -3'
_space_group_IT_number 147
_cell_length_a 6.6680
_cell_length_b 6.6680
_cell_length_c 9.3952
_cell_angle_alpha 90.00
_cell_angle_beta 90.00
_cell_angle_gamma 120.00
loop_
_space_group_symop_operation_xyz
'x,y,z'
'-x,-y,-z'
'-y,x-y,z'
'y,-x+y,-z'
'-x+y,-x,z'
'x-y,x,-z'
loop_
_atom_site_label
_atom_site_type_symbol
_atom_site_fract_x
_atom_site_fract_y
_atom_site_fract_z
Na1 Na 0.0000 0.0000 0.2465
Na2 Na 0.0421 0.6784 0.4075
Na3 Na 0.0704 0.3779 0.0912
Mg1 Mg 0.3333 0.6667 0.7636
O1 O 0.0000 0.0000 0.5000
O2 O 0.0607 0.3655 0.8353
O3 O 0.3333 0.6667 0.5460
```

Top 10 peaks for 2θ = 10–90°, in order of falling intensity:
- 1.920 Å, 2θ = 47.34°, I = 100, hkl 2 -1 4
- 1.925 Å, 2θ = 47.22°, I = 83, hkl 3 0 0
- 2.719 Å, 2θ = 32.94°, I = 74, hkl 1 1 2
- 3.139 Å, 2θ = 28.43°, I = 56, hkl 0 0 3
- 2.126 Å, 2θ = 42.53°, I = 56, hkl 3 -1 1
- 2.756 Å, 2θ = 32.48°, I = 29, hkl 2 0 1
- 4.920 Å, 2θ = 18.03°, I = 24, hkl 0 1 1
- 1.311 Å, 2θ = 72.01°, I = 18, hkl 0 4 3
- 1.359 Å, 2θ = 69.10°, I = 17, hkl 2 2 4
- 1.111 Å, 2θ = 87.91°, I = 13, hkl 5 -1 4